No. 1
Computed PXRD pattern of Sr2TaRuO6 for Cu Kα, from a DFT-relaxed cell (GGA-PBE, Alexandria).
Kinematic intensities with the Lorentz-polarization factor, no thermal factor.

The 12 most intense peaks (2θ from 10° to 90°), most intense first:
| d_spacing | Rel. int. | index |
| --- | --- | --- |
| 2.843 | 100.0 | 2 0 0 |
| 1.642 | 39.8 | 3 1 2 |
| 2.011 | 30.9 | 2 2 0 |
| 1.422 | 18.9 | 4 0 0 |
| 4.021 | 13.4 | 1 1 0 |
| 1.272 | 11.6 | 4 2 0 |
| 4.643 | 6.9 | 1 0 1 |
| 1.161 | 6.4 | 4 0 4 |
| 1.270 | 5.8 | 1 1 6 |
| 1.798 | 5.3 | 3 1 0 |
| 2.425 | 4.0 | 1 0 3 |
| 1.341 | 2.2 | 3 3 0 |

Structural model:
Cell: 5.6901 5.6901 8.0336 Å, 90.00 90.00 90.00°
Space group I4/mmm (No. 139)
Symmetry-distinct sites (fractional):
Sr (0.0000, 0.5000, 0.2500) [4 per cell]
Ta (0.0000, 0.0000, 0.0000) [2 per cell]
Ru (0.0000, 0.0000, 0.5000) [2 per cell]
O (0.0000, 0.0000, 0.2474) [4 per cell]
O (0.2472, 0.2472, 0.0000) [8 per cell]


No. 2
Computed PXRD pattern of Lu3Ru2 for Cu Kα, from a DFT-relaxed cell (GGA-PBE, Alexandria).
Kinematic intensities with the Lorentz-polarization factor, no thermal factor.

The 12 most intense peaks (2θ from 10° to 90°), most intense first:
| d_spacing | Rel. int. | index |
| --- | --- | --- |
| 2.908 | 100.0 | 1 1 1 |
| 2.652 | 50.9 | 2 0 1 |
| 2.443 | 47.8 | 1 2 0 |
| 2.154 | 33.3 | 3 0 0 |
| 1.682 | 24.9 | 2 1 2 |
| 1.412 | 24.1 | 2 3 1 |
| 2.162 | 23.7 | 2 1 1 |
| 2.320 | 17.8 | 0 0 2 |
| 2.183 | 12.4 | 1 0 2 |
| 1.429 | 11.8 | 1 1 3 |
| 1.418 | 10.5 | 3 1 2 |
| 1.970 | 10.2 | 1 1 2 |

Structural model:
Cell: 7.4632 7.4632 4.6395 Å, 90.00 90.00 120.00°
Space group P6_3/m (No. 176)
Symmetry-distinct sites (fractional):
Lu (0.0810, 0.3865, 0.2500) [6 per cell]
Ru (0.0000, 0.0000, 0.0000) [2 per cell]
Ru (0.3333, 0.6667, 0.7500) [2 per cell]


No. 3
Computed PXRD pattern of CuAgAu6 for Cu Kα, from a DFT-relaxed cell (GGA-PBE, Alexandria).
Kinematic intensities with the Lorentz-polarization factor, no thermal factor.

The 12 most intense peaks (2θ from 10° to 90°), most intense first:
| d_spacing | Rel. int. | index |
| --- | --- | --- |
| 2.375 | 100.0 | 1 1 2 |
| 2.080 | 34.2 | 2 0 0 |
| 1.250 | 26.6 | 3 1 2 |
| 1.446 | 20.8 | 2 0 4 |
| 2.012 | 15.1 | 0 0 4 |
| 1.220 | 11.7 | 1 1 6 |
| 1.471 | 11.3 | 2 2 0 |
| 1.187 | 11.2 | 2 2 4 |
| 4.159 | 4.9 | 1 0 0 |
| 2.892 | 4.1 | 1 0 2 |
| 4.024 | 2.2 | 0 0 2 |
| 2.941 | 2.2 | 1 1 0 |

Structural model:
Cell: 4.1594 4.1594 8.0487 Å, 90.00 90.00 90.00°
Space group P4/mmm (No. 123)
Symmetry-distinct sites (fractional):
Cu (0.0000, 0.0000, 0.0000) [1 per cell]
Ag (0.0000, 0.0000, 0.5000) [1 per cell]
Au (0.0000, 0.5000, 0.2413) [4 per cell]
Au (0.5000, 0.5000, 0.0000) [1 per cell]
Au (0.5000, 0.5000, 0.5000) [1 per cell]


No. 4
Computed PXRD pattern of PrDy3In3 for Cu Kα, from a DFT-relaxed cell (GGA-PBE, Alexandria).
Kinematic intensities with the Lorentz-polarization factor, no thermal factor.

The 12 most intense peaks (2θ from 10° to 90°), most intense first:
| d_spacing | Rel. int. | index |
| --- | --- | --- |
| 2.662 | 100.0 | 1 2 1 |
| 3.104 | 23.4 | 1 2 0 |
| 2.589 | 23.4 | 0 0 2 |
| 1.508 | 17.4 | 1 2 3 |
| 1.473 | 14.2 | 4 1 2 |
| 1.792 | 13.3 | 4 1 0 |
| 1.988 | 13.2 | 1 2 2 |
| 3.217 | 7.4 | 2 0 1 |
| 1.882 | 6.2 | 3 2 0 |
| 1.487 | 5.9 | 2 4 1 |
| 1.770 | 5.3 | 3 2 1 |
| 1.217 | 4.8 | 6 1 1 |

Structural model:
Cell: 9.4827 9.4827 5.1772 Å, 90.00 90.00 120.00°
Space group P6_3/m (No. 176)
Symmetry-distinct sites (fractional):
Pr (0.3333, 0.6667, 0.2500) [2 per cell]
Dy (0.0013, 0.2329, 0.7500) [6 per cell]
In (0.0682, 0.6171, 0.7500) [6 per cell]


No. 5
Computed PXRD pattern of MnTlCdB for Cu Kα, from a DFT-relaxed cell (GGA-PBE, Alexandria).
Kinematic intensities with the Lorentz-polarization factor, no thermal factor.

The 12 most intense peaks (2θ from 10° to 90°), most intense first:
| d_spacing | Rel. int. | index |
| --- | --- | --- |
| 2.759 | 100.0 | 1 0 1 |
| 2.387 | 76.5 | 1 0 -2 |
| 2.749 | 46.2 | 0 0 3 |
| 2.070 | 44.4 | 1 1 0 |
| 8.248 | 40.2 | 0 0 1 |
| 1.654 | 39.4 | 1 1 3 |
| 1.293 | 32.0 | 0 2 3 |
| 4.124 | 24.6 | 0 0 2 |
| 1.686 | 20.9 | 1 0 4 |
| 1.248 | 19.1 | 2 1 -2 |
| 1.437 | 15.3 | 1 0 -5 |
| 2.006 | 14.7 | 0 1 3 |

Structural model:
Cell: 2.9280 2.9279 8.2483 Å, 90.00 90.05 90.00°
Space group Pm (No. 6)
Symmetry-distinct sites (fractional):
Mn (0.0000, 0.0000, 0.0000) [1 per cell]
Tl (0.9936, 0.0000, 0.3694) [1 per cell]
Cd (0.5004, 0.5000, 0.7174) [1 per cell]
B (0.5001, 0.5000, 0.0208) [1 per cell]


No. 6
Computed PXRD pattern of Cs6Ho3Br14 for Cu Kα, from a DFT-relaxed cell (GGA-PBE, Alexandria).
Kinematic intensities with the Lorentz-polarization factor, no thermal factor.

The 12 most intense peaks (2θ from 10° to 90°), most intense first:
| d_spacing | Rel. int. | index |
| --- | --- | --- |
| 4.489 | 100.0 | 2 0 1 |
| 3.175 | 87.2 | 1 3 0 |
| 3.376 | 65.9 | 0 3 1 |
| 2.909 | 65.6 | 4 -3 1 |
| 3.714 | 62.3 | 3 -2 1 |
| 6.613 | 61.6 | 1 1 0 |
| 3.057 | 57.6 | 0 2 2 |
| 2.106 | 53.2 | 3 -1 3 |
| 6.114 | 50.9 | 0 1 1 |
| 4.880 | 49.8 | 1 1 1 |
| 2.775 | 44.9 | 3 -2 2 |
| 3.307 | 39.3 | 2 2 0 |

Structural model:
Cell: 13.2266 13.2266 7.2298 Å, 90.00 90.00 120.00°
Space group P3 (No. 143)
Symmetry-distinct sites (fractional):
Cs (0.0278, 0.5757, 0.0000) [3 per cell]
Cs (0.3094, 0.0966, 0.4778) [3 per cell]
Ho (0.0000, 0.0000, 0.9118) [1 per cell]
Ho (0.3333, 0.6667, 0.4342) [1 per cell]
Ho (0.6667, 0.3333, 0.7562) [1 per cell]
Br (0.0000, 0.0000, 0.2828) [1 per cell]
Br (0.0708, 0.8574, 0.7748) [3 per cell]
Br (0.1871, 0.4551, 0.2898) [3 per cell]
Br (0.3333, 0.6667, 0.8045) [1 per cell]
Br (0.4648, 0.1978, 0.9698) [3 per cell]
Br (0.5330, 0.4010, 0.5401) [3 per cell]


No. 7
Computed PXRD pattern of DyMgAu4 for Cu Kα, from a DFT-relaxed cell (GGA-PBE, Alexandria).
Kinematic intensities with the Lorentz-polarization factor, no thermal factor.

The 12 most intense peaks (2θ from 10° to 90°), most intense first:
| d_spacing | Rel. int. | index |
| --- | --- | --- |
| 2.320 | 100.0 | 3 1 0 |
| 2.572 | 87.9 | 1 1 -2 |
| 2.283 | 31.3 | 4 0 -2 |
| 1.287 | 19.7 | 7 1 -2 |
| 1.840 | 16.9 | 0 2 0 |
| 1.161 | 15.3 | 6 2 0 |
| 1.441 | 14.9 | 2 2 2 |
| 1.433 | 14.5 | 4 2 -2 |
| 1.798 | 14.3 | 2 0 -4 |
| 1.413 | 13.6 | 5 1 -4 |
| 1.430 | 13.5 | 1 1 4 |
| 1.299 | 10.5 | 5 1 2 |

Structural model:
Cell: 9.6205 3.6805 7.1918 Å, 90.00 111.08 90.00°
Space group C2/m (No. 12)
Symmetry-distinct sites (fractional):
Dy (0.0000, 0.0000, 0.0000) [2 per cell]
Mg (0.0000, 0.0000, 0.5000) [2 per cell]
Au (0.1616, 0.5000, 0.3419) [4 per cell]
Au (0.1635, 0.5000, 0.8161) [4 per cell]